No. 1
# P6Pb10O25
Simulated powder X-ray diffraction pattern, a wavelength of 1.5418 Å. Input: a structure optimized by DFT (PBE).
Neutral-atom scattering factors, no anomalous dispersion.

Top 10 peaks for 10 to 90 degrees two-theta, most intense first:
- (1 1 2), 29.73°, I 100.0
- (2 1 0), 27.16°, I 25.9
- (1 0 2), 25.89°, I 25.6
- (3 0 0), 30.88°, I 23.7
- (2 2 2), 43.42°, I 22.2
- (2 -1 1), 21.32°, I 22.0
- (2 0 0), 20.45°, I 19.0
- (4 0 2), 48.45°, I 18.5
- (3 -1 3), 45.63°, I 17.7
- (4 1 0), 48.00°, I 14.8

Unit cell a=10.0303 b=10.0303 c=7.4957 alpha=90.00 beta=90.00 gamma=120.00
Space group P3 (No. 143)
Asymmetric unit:
P  0.0287  0.4040  0.0000
P  0.3969  0.3688  0.5003
Pb  0.0027  0.7759  0.9800
Pb  0.2636  0.0064  0.4942
Pb  0.3333  0.6667  0.2443
Pb  0.3333  0.6667  0.7542
Pb  0.6667  0.3333  0.2379
Pb  0.6667  0.3333  0.7587
O  0.0000  0.0000  0.9345
O  0.0695  0.3379  0.1666
O  0.0764  0.3465  0.8305
O  0.1278  0.5838  0.0038
O  0.1488  0.6779  0.4999
O  0.3509  0.2596  0.3359
O  0.3523  0.2631  0.6689
O  0.4970  0.1460  0.9966
O  0.5267  0.1051  0.4994


No. 2
# P2PdPbO7
Simulated powder X-ray diffraction pattern, a wavelength of 1.5418 Å. Input: a structure optimized by DFT (PBE).
Neutral-atom scattering factors, no anomalous dispersion.

Top 10 peaks for 10 to 90 degrees two-theta, most intense first:
- (2 1 1), 22.82°, I 100.0
- (4 1 1), 32.26°, I 69.1
- (2 0 2), 27.16°, I 47.4
- (2 2 0), 31.98°, I 38.8
- (4 2 2), 46.61°, I 25.3
- (1 0 1), 13.49°, I 21.5
- (0 2 2), 37.93°, I 21.4
- (2 1 3), 41.23°, I 20.3
- (6 0 2), 46.68°, I 18.7
- (4 1 3), 47.49°, I 16.0

Unit cell a=13.6692 b=6.1343 c=7.4856 alpha=90.00 beta=90.00 gamma=90.00
Space group Pnma (No. 62)
Asymmetric unit:
P  0.0877  0.2500  0.1777
P  0.1218  0.7500  0.7840
Pd  0.0000  0.0000  0.5000
Pb  0.2428  0.7500  0.2405
O  0.0231  0.7500  0.9037
O  0.0948  0.0373  0.2912
O  0.1193  0.5400  0.6660
O  0.1601  0.2500  0.0278
O  0.2084  0.7500  0.9081


No. 3
# Sr2P3Pb3O13
Simulated powder X-ray diffraction pattern, a wavelength of 1.5418 Å. Input: a structure optimized by DFT (PBE).
Neutral-atom scattering factors, no anomalous dispersion.

Top 10 peaks for 10 to 90 degrees two-theta, most intense first:
- (1 2 1), 30.09°, I 100.0
- (2 1 3), 46.15°, I 29.7
- (0 0 4), 49.08°, I 26.1
- (1 1 1), 21.58°, I 25.5
- (1 0 2), 26.16°, I 20.4
- (0 0 2), 23.97°, I 19.9
- (1 2 0), 27.53°, I 18.6
- (3 2 1), 47.85°, I 13.9
- (1 2 5), 69.65°, I 13.7
- (3 3 1), 57.20°, I 13.5

Unit cell a=9.8974 b=9.8974 c=7.4256 alpha=90.00 beta=90.00 gamma=120.00
Space group P6_3/m (No. 176)
Asymmetric unit:
Sr  0.3333  0.6667  0.0046
P  0.0344  0.6237  0.7500
Pb  0.0059  0.2397  0.7500
O  0.0000  0.0000  0.2500
O  0.0882  0.7335  0.5810
O  0.1284  0.5349  0.7500
O  0.1428  0.4929  0.2500


No. 4
# Zn3TeP2Pb3O14
Simulated powder X-ray diffraction pattern, a wavelength of 1.5418 Å. Input: a structure optimized by DFT (PBE).
Neutral-atom scattering factors, no anomalous dispersion.

Top 10 peaks for 10 to 90 degrees two-theta, most intense first:
- (1 1 1), 26.90°, I 100.0
- (2 0 1), 29.53°, I 81.2
- (1 3 1), 47.61°, I 29.4
- (2 1 0), 32.04°, I 28.0
- (3 0 0), 36.45°, I 27.0
- (3 2 1), 57.07°, I 24.8
- (0 0 1), 16.84°, I 24.6
- (2 1 2), 47.46°, I 24.2
- (3 1 0), 44.19°, I 21.4
- (1 1 0), 20.82°, I 20.0

Unit cell a=8.5337 b=8.5337 c=5.2643 alpha=90.00 beta=90.00 gamma=120.00
Space group P321 (No. 150)
Asymmetric unit:
Zn  0.0000  0.7505  0.0000
Te  0.0000  0.0000  0.5000
P  0.3333  0.6667  0.9589
Pb  0.0000  0.4058  0.5000
O  0.0922  0.2168  0.2890
O  0.2024  0.7274  0.8438
O  0.3333  0.6667  0.2508


No. 5
# Zn3Te2P2Pb2O14
Simulated powder X-ray diffraction pattern, a wavelength of 1.5418 Å. Input: a structure optimized by DFT (PBE).
Neutral-atom scattering factors, no anomalous dispersion.

Top 10 peaks for 10 to 90 degrees two-theta, most intense first:
- (1 2 -2), 30.05°, I 100.0
- (1 1 3), 26.43°, I 96.2
- (1 2 1), 28.30°, I 50.5
- (1 0 4), 28.49°, I 33.2
- (2 0 0), 33.49°, I 32.8
- (1 0 0), 16.57°, I 30.9
- (0 1 5), 30.97°, I 29.2
- (2 1 5), 46.26°, I 24.6
- (1 1 4), 30.61°, I 23.5
- (0 3 2), 35.33°, I 20.0

Unit cell a=5.3516 b=8.0672 c=15.4613 alpha=90.00 beta=90.06 gamma=90.00
Space group P2_1/c (No. 14)
Asymmetric unit:
Zn  0.0000  0.0000  0.0000
Zn  0.0095  0.1096  0.6150
Te  0.4840  0.2225  0.4885
P  0.0363  0.2381  0.8078
Pb  0.4968  0.0602  0.1984
O  0.0948  0.0993  0.8742
O  0.1492  0.0942  0.3397
O  0.1850  0.1968  0.7220
O  0.2480  0.7479  0.7105
O  0.2518  0.7399  0.4293
O  0.2921  0.1105  0.0501
O  0.2937  0.0473  0.5405